Dy2IrAu: theoretical X-ray powder pattern (Cu Ka), based on a cell relaxed with GGA-PBE.
Lines closer than 0.1° are merged.

Most intense lines, 5 to 70 degrees two-theta, low angle first:
(hkl)  d/Å  Rel. int.
2 0 0  3.513  1.0
2 2 0  2.484  100.0
4 0 0  1.757  17.8
4 2 2  1.434  36.7

```
data_Dy2IrAu
_cell_length_a 7.026
_cell_length_b 7.026
_cell_length_c 7.026
_cell_angle_alpha 90.00
_cell_angle_beta 90.00
_cell_angle_gamma 90.00
_space_group_name_H-M_alt 'F m -3 m'
_space_group_IT_number 225
_space_group_name_Hall '-F 4 2 3'
loop_
_atom_site_label
_atom_site_type_symbol
_atom_site_fract_x
_atom_site_fract_y
_atom_site_fract_z
_atom_site_occupancy
Dy1 Dy 0.250 0.250 0.250 1
Ir1 Ir 0.000 0.000 0.000 1
Au1 Au 0.000 0.000 0.500 1
```